1.
Calculated XRD peak list
Compound: CdN
Radiation: CuKα
Structure: a GGA-PBE-relaxed structure
Peak positions follow from Bragg's law for the DFT cell and can differ from measured ones.

Top 10 peaks for 2θ = 10–80°, sorted by position:
2theta	I_rel
25.11	27.5
30.60	45.8
30.81	100.0
31.45	51.2
33.70	33.9
34.78	32.3
35.23	61.0
36.05	27.7
40.27	62.0
40.96	25.1

```
data_CdN
_chemical_formula_sum 'Cd4 N4'
_cell_length_a 21.4094
_cell_length_b 3.1803
_cell_length_c 3.1569
_cell_angle_alpha 90.00
_cell_angle_beta 96.40
_cell_angle_gamma 90.00
_space_group_name_H-M_alt 'C 1 m 1'
_space_group_IT_number 8
loop_
_space_group_symop_operation_xyz
'x,y,z'
'x,-y,z'
'x+1/2,y+1/2,z'
'x+1/2,-y+1/2,z'
loop_
_atom_site_label
_atom_site_type_symbol
_atom_site_fract_x
_atom_site_fract_y
_atom_site_fract_z
Cd1 Cd 0.0000 0.0000 0.0000
Cd2 Cd 0.1100 0.5000 0.5814
N1 N 0.2789 0.0000 0.3016
N2 N 0.3313 0.0000 0.3499
```

2.
Calculated XRD peak list
Compound: Hf2H2Pt
Radiation: CuKα
Structure: a GGA-PBE-relaxed structure
Peak positions follow from Bragg's law for the DFT cell and can differ from measured ones.

Top 10 peaks for 2θ = 10–80°, sorted by position:
2theta	I_rel
34.89	90.4
35.50	100.0
37.09	59.0
37.42	57.6
43.46	58.2
57.14	26.0
60.16	22.4
63.80	12.7
66.26	16.7
73.86	12.3

```
data_Hf2H2Pt
_chemical_formula_sum 'Hf8 H8 Pt4'
_cell_length_a 5.7985
_cell_length_b 8.9199
_cell_length_c 5.4670
_cell_angle_alpha 90.00
_cell_angle_beta 117.54
_cell_angle_gamma 90.00
_space_group_name_H-M_alt 'C 1 2/c 1'
_space_group_IT_number 15
loop_
_space_group_symop_operation_xyz
'x,y,z'
'-x,-y,-z'
'-x,y,-z+1/2'
'x,-y,z+1/2'
'x+1/2,y+1/2,z'
'-x+1/2,-y+1/2,-z'
'-x+1/2,y+1/2,-z+1/2'
'x+1/2,-y+1/2,z+1/2'
loop_
_atom_site_label
_atom_site_type_symbol
_atom_site_fract_x
_atom_site_fract_y
_atom_site_fract_z
Hf1 Hf 0.0000 0.0814 0.2500
Hf2 Hf 0.0000 0.2903 0.7500
H1 H 0.1373 0.1098 0.9820
Pt1 Pt 0.0000 0.3920 0.2500
```

3.
Calculated XRD peak list
Compound: Pr2ErPuTe5
Radiation: CuKα
Structure: a GGA-PBE-relaxed structure
Peak positions follow from Bragg's law for the DFT cell and can differ from measured ones.

Top 10 peaks for 2θ = 10–80°, sorted by position:
2theta	I_rel
23.15	93.8
24.38	31.3
30.50	43.9
32.68	54.8
32.96	100.0
38.63	28.2
45.52	58.4
47.31	36.5
57.34	29.5
58.69	20.6

```
data_Pr2ErPuTe5
_chemical_formula_sum 'Pr2 Er1 Pu1 Te5'
_cell_length_a 5.4343
_cell_length_b 5.4343
_cell_length_c 11.7250
_cell_angle_alpha 90.00
_cell_angle_beta 90.00
_cell_angle_gamma 90.00
_space_group_name_H-M_alt 'P 4/m m m'
_space_group_IT_number 123
_space_group_name_Hall '-P 4 2'
loop_
_atom_site_label
_atom_site_type_symbol
_atom_site_fract_x
_atom_site_fract_y
_atom_site_fract_z
Pr1 Pr 0.0000 0.0000 0.1992
Er1 Er 0.5000 0.5000 0.0000
Pu1 Pu 0.5000 0.5000 0.5000
Te1 Te 0.0000 0.0000 0.5000
Te2 Te 0.0000 0.5000 0.0000
Te3 Te 0.5000 0.5000 0.2496
```

4.
Calculated XRD peak list
Compound: Ba2GaAsSe5
Radiation: CuKα
Structure: a GGA-PBE-relaxed structure
Peak positions follow from Bragg's law for the DFT cell and can differ from measured ones.

Top 10 peaks for 2θ = 10–80°, sorted by position:
2theta	I_rel
16.85	12.2
27.26	15.5
28.14	100.0
29.28	38.5
30.13	31.2
35.42	19.4
39.61	22.6
40.78	22.2
41.37	9.9
50.00	21.1

```
data_Ba2GaAsSe5
_chemical_formula_sum 'Ba8 Ga4 As4 Se20'
_cell_length_a 12.8961
_cell_length_b 9.1004
_cell_length_c 9.4139
_cell_angle_alpha 90.00
_cell_angle_beta 90.00
_cell_angle_gamma 90.00
_space_group_name_H-M_alt 'P n m a'
_space_group_IT_number 62
loop_
_space_group_symop_operation_xyz
'x,y,z'
'-x,-y,-z'
'-x+1/2,-y,z+1/2'
'x+1/2,y,-z+1/2'
'x+1/2,-y+1/2,-z+1/2'
'-x+1/2,y+1/2,z+1/2'
'-x,y+1/2,-z'
'x,-y+1/2,z'
loop_
_atom_site_label
_atom_site_type_symbol
_atom_site_fract_x
_atom_site_fract_y
_atom_site_fract_z
Ba1 Ba 0.1743 0.0055 0.1328
Ga1 Ga 0.0961 0.7500 0.8348
As1 As 0.0379 0.7500 0.4935
Se1 Se 0.0118 0.2500 0.9599
Se2 Se 0.0566 0.5461 0.6694
Se3 Se 0.2124 0.7500 0.3973
Se4 Se 0.2238 0.2500 0.3975
```

5.
Calculated XRD peak list
Compound: ErZr2S5
Radiation: CuKα
Structure: a GGA-PBE-relaxed structure
Peak positions follow from Bragg's law for the DFT cell and can differ from measured ones.

Top 10 peaks for 2θ = 10–80°, sorted by position:
2theta	I_rel
13.55	100.0
20.05	11.2
27.33	17.5
27.39	10.0
33.66	42.0
35.79	15.5
38.43	14.8
39.78	9.5
42.21	8.9
43.86	22.4

```
data_ErZr2S5
_chemical_formula_sum 'Er2 Zr4 S10'
_cell_length_a 5.0180
_cell_length_b 13.5974
_cell_length_c 6.9934
_cell_angle_alpha 90.00
_cell_angle_beta 110.85
_cell_angle_gamma 90.00
_space_group_name_H-M_alt 'C 1 2/m 1'
_space_group_IT_number 12
loop_
_space_group_symop_operation_xyz
'x,y,z'
'-x,-y,-z'
'-x,y,-z'
'x,-y,z'
'x+1/2,y+1/2,z'
'-x+1/2,-y+1/2,-z'
'-x+1/2,y+1/2,-z'
'x+1/2,-y+1/2,z'
loop_
_atom_site_label
_atom_site_type_symbol
_atom_site_fract_x
_atom_site_fract_y
_atom_site_fract_z
Er1 Er 0.0000 0.0000 0.0000
Zr1 Zr 0.0000 0.3147 0.0000
S1 S 0.0000 0.5000 0.0000
S2 S 0.1189 0.1682 0.2386
```

6.
Calculated XRD peak list
Compound: Pm7Tm4Th
Radiation: CuKα
Structure: a GGA-PBE-relaxed structure
Peak positions follow from Bragg's law for the DFT cell and can differ from measured ones.

Top 10 peaks for 2θ = 10–80°, sorted by position:
2theta	I_rel
28.69	43.4
29.31	14.3
30.95	56.5
31.66	76.9
31.75	37.5
33.38	100.0
50.43	43.7
60.27	25.7
60.46	17.0
60.80	18.0

```
data_Pm7Tm4Th
_chemical_formula_sum 'Pm7 Tm4 Th1'
_cell_length_a 6.2699
_cell_length_b 7.2364
_cell_length_c 8.9241
_cell_angle_alpha 90.13
_cell_angle_beta 103.73
_cell_angle_gamma 90.03
_space_group_name_H-M_alt 'P -1'
_space_group_IT_number 2
loop_
_space_group_symop_operation_xyz
'x,y,z'
'-x,-y,-z'
loop_
_atom_site_label
_atom_site_type_symbol
_atom_site_fract_x
_atom_site_fract_y
_atom_site_fract_z
Pm1 Pm 0.0000 0.0000 0.0000
Pm2 Pm 0.2200 0.4999 0.6696
Pm3 Pm 0.2777 0.2506 0.3331
Pm4 Pm 0.4995 0.2518 0.9979
Tm1 Tm 0.2190 0.0001 0.6621
Tm2 Tm 0.2745 0.7523 0.3314
Th1 Th 0.0000 0.5000 0.0000
```